For Th3AlMo6, DFT lattice parameters and positions (GGA-PBE) gives the theoretical powder XRD pattern in this record (Cu Kα (weighted mean of Kα1 and Kα2)).
Lines closer than 0.1° are merged.

Crystal structure
abc: 7.316 7.316 7.316
angles: 124.91 124.91 81.69
Positions (direct):
Th 0.000 0.000 0.000
Th 0.250 0.750 0.500
Th 0.750 0.250 0.500
Al 0.500 0.500 0.000
Mo 0.163 0.500 0.663
Mo 0.285 0.285 0.000
Mo 0.500 0.163 0.663
Mo 0.500 0.837 0.337
Mo 0.715 0.715 0.000
Mo 0.837 0.500 0.337

Most intense lines, 2θ from 10° to 90°, in order of rising 2θ:
d [Å]	Position (°2θ)	I/Imax
3.620	24.6	22
3.383	26.3	100
2.919	30.6	32
2.767	32.4	44
2.393	37.6	26
2.340	38.5	38
2.196	41.1	19
2.142	42.2	50
1.996	45.4	35
1.533	60.4	17